# 1
TbDy3Ho5: theoretical XRD peak list (a wavelength of 1.5418 Å), based on a PBE-relaxed structure.

Main lines, in order of falling intensity (10° ≤ 2θ ≤ 90°):
| 2theta | Rel. int. |
| --- | --- |
| 31.0 | 100 |
| 33.4 | 40 |
| 29.7 | 38 |
| 39.3 | 22 |
| 58.7 | 20 |
| 38.1 | 18 |
| 53.4 | 12 |
| 51.0 | 11 |
| 60.9 | 11 |
| 32.5 | 11 |
| 60.1 | 10 |
| 66.2 | 10 |

a = 10.419 Å, b = 10.419 Å, c = 10.419 Å
α = 139.76°, β = 67.96°, γ = 127.73°
Element x y z (fractional)
Tb (0.301, 0.051, 0.250)
Tb (0.699, 0.949, 0.750)
Dy (0.000, 0.000, 0.500)
Dy (0.000, 0.500, 0.000)
Dy (0.185, 0.749, 0.437)
Dy (0.188, 0.251, 0.937)
Dy (0.812, 0.749, 0.063)
Dy (0.815, 0.251, 0.563)
Ho (0.157, 0.317, 0.336)
Ho (0.157, 0.821, 0.840)
Ho (0.339, 0.589, 0.750)
Ho (0.481, 0.317, 0.660)
Ho (0.481, 0.821, 0.164)
Ho (0.519, 0.179, 0.836)
Ho (0.519, 0.683, 0.340)
Ho (0.661, 0.411, 0.250)
Ho (0.843, 0.179, 0.160)
Ho (0.843, 0.683, 0.664)

=====

# 2
Ti4Nb2Os: theoretical XRD peak list (a wavelength of 1.5418 Å), based on a PBE-relaxed structure.

Main lines, in order of falling intensity (10° ≤ 2θ ≤ 90°):
| 2theta | Rel. int. |
| --- | --- |
| 15.0 | 100 |
| 38.3 | 57 |
| 39.8 | 56 |
| 40.0 | 54 |
| 39.0 | 53 |
| 39.5 | 51 |
| 40.6 | 48 |
| 32.4 | 20 |
| 57.4 | 18 |
| 70.8 | 17 |
| 56.9 | 17 |
| 57.2 | 17 |

a = 2.876 Å, b = 6.844 Å, c = 6.951 Å
α = 117.85°, β = 97.21°, γ = 97.17°
Element x y z (fractional)
Ti (0.128, 0.091, 0.366)
Ti (0.262, 0.640, 0.230)
Ti (0.738, 0.360, 0.770)
Ti (0.872, 0.909, 0.634)
Nb (0.449, 0.213, 0.067)
Nb (0.551, 0.787, 0.933)
Os (0.000, 0.500, 0.500)

=====

# 3
Pr7NdSc4: theoretical XRD peak list (a wavelength of 1.5418 Å), based on a PBE-relaxed structure.

Main lines, in order of falling intensity (10° ≤ 2θ ≤ 90°):
| 2theta | Rel. int. |
| --- | --- |
| 31.9 | 100 |
| 33.7 | 95 |
| 28.9 | 52 |
| 31.3 | 48 |
| 50.8 | 37 |
| 60.9 | 28 |
| 55.0 | 19 |
| 45.8 | 18 |
| 40.3 | 16 |
| 62.3 | 15 |
| 58.3 | 14 |
| 61.0 | 14 |

a = 6.225 Å, b = 7.192 Å, c = 8.815 Å
α = 89.88°, β = 76.42°, γ = 89.92°
Element x y z (fractional)
Pr (0.000, 0.000, 0.000)
Pr (0.226, 0.501, 0.337)
Pr (0.290, 0.242, 0.659)
Pr (0.499, 0.759, 0.988)
Pr (0.501, 0.241, 0.012)
Pr (0.710, 0.758, 0.341)
Pr (0.774, 0.499, 0.663)
Nd (0.000, 0.500, 0.000)
Sc (0.211, 0.999, 0.342)
Sc (0.270, 0.762, 0.663)
Sc (0.730, 0.238, 0.337)
Sc (0.789, 0.001, 0.658)

=====

# 4
B8O: theoretical XRD peak list (a wavelength of 1.5418 Å), based on a PBE-relaxed structure.

Main lines, in order of falling intensity (10° ≤ 2θ ≤ 90°):
| 2theta | Rel. int. |
| --- | --- |
| 35.0 | 100 |
| 21.5 | 58 |
| 39.9 | 47 |
| 40.1 | 23 |
| 63.4 | 15 |
| 20.6 | 15 |
| 65.9 | 8 |
| 65.5 | 8 |
| 65.7 | 8 |
| 75.5 | 8 |
| 24.1 | 8 |
| 71.3 | 8 |

a = 7.358 Å, b = 5.319 Å, c = 10.272 Å
α = 90.00°, β = 92.39°, γ = 90.00°
Element x y z (fractional)
B (0.031, 0.250, 0.199)
B (0.046, 0.250, 0.687)
B (0.076, 0.085, 0.046)
B (0.076, 0.415, 0.046)
B (0.081, 0.081, 0.543)
B (0.081, 0.419, 0.543)
B (0.176, 0.531, 0.699)
B (0.176, 0.969, 0.699)
B (0.186, 0.510, 0.199)
B (0.186, 0.990, 0.199)
B (0.242, 0.250, 0.797)
B (0.243, 0.250, 0.961)
B (0.249, 0.250, 0.297)
B (0.249, 0.250, 0.461)
B (0.308, 0.512, 0.057)
B (0.308, 0.988, 0.057)
B (0.309, 0.515, 0.559)
B (0.309, 0.985, 0.559)
B (0.411, 0.080, 0.714)
B (0.411, 0.420, 0.714)
B (0.417, 0.084, 0.210)
B (0.417, 0.416, 0.210)
B (0.449, 0.250, 0.567)
B (0.450, 0.250, 0.063)
B (0.550, 0.750, 0.937)
B (0.551, 0.750, 0.433)
B (0.583, 0.584, 0.790)
B (0.583, 0.916, 0.790)
B (0.589, 0.580, 0.286)
B (0.589, 0.920, 0.286)
B (0.691, 0.015, 0.441)
B (0.691, 0.485, 0.441)
B (0.692, 0.012, 0.943)
B (0.692, 0.488, 0.943)
B (0.751, 0.750, 0.539)
B (0.751, 0.750, 0.703)
B (0.757, 0.750, 0.039)
B (0.758, 0.750, 0.203)
B (0.814, 0.010, 0.801)
B (0.814, 0.490, 0.801)
B (0.824, 0.031, 0.301)
B (0.824, 0.469, 0.301)
B (0.919, 0.581, 0.457)
B (0.919, 0.919, 0.457)
B (0.924, 0.585, 0.954)
B (0.924, 0.915, 0.954)
B (0.954, 0.750, 0.313)
B (0.969, 0.750, 0.801)
O (0.133, 0.750, 0.257)
O (0.369, 0.750, 0.997)
O (0.372, 0.750, 0.497)
O (0.628, 0.250, 0.503)
O (0.631, 0.250, 0.003)
O (0.867, 0.250, 0.743)